Entry 1:
Structure and theoretical PXRD pattern of LiTe4H4O6F8 (the GGA-PBE geometry in the Materials Project; Cu Kα X-rays).
No peak broadening, texture or thermal motion is included.

Main lines, low angle first (2θ from 10° to 90°):
| 2θ/deg | Rel. int. |
| --- | --- |
| 19.41 | 76 |
| 19.70 | 29 |
| 20.83 | 100 |
| 22.07 | 31 |
| 22.19 | 65 |
| 22.39 | 34 |
| 22.49 | 27 |
| 22.94 | 23 |
| 28.45 | 22 |
| 31.10 | 21 |
| 42.00 | 22 |
| 46.86 | 26 |

Crystal structure
a = 5.036 Å, b = 6.552 Å, c = 11.553 Å
α = 88.92°, β = 78.56°, γ = 67.68°
Space group P1 (No. 1)
Asymmetric unit:
Li (0.000, 0.000, 0.000) (multiplicity 1)
Te (0.211, 0.381, 0.056) (multiplicity 1)
Te (0.326, 0.887, 0.257) (multiplicity 1)
Te (0.454, 0.792, 0.719) (multiplicity 1)
Te (0.773, 0.328, 0.523) (multiplicity 1)
H (0.032, 0.732, 0.839) (multiplicity 1)
H (0.490, 0.341, 0.370) (multiplicity 1)
H (0.958, 0.829, 0.425) (multiplicity 1)
H (0.960, 0.380, 0.892) (multiplicity 1)
O (0.096, 0.257, 0.929) (multiplicity 1)
O (0.119, 0.034, 0.145) (multiplicity 1)
O (0.187, 0.773, 0.862) (multiplicity 1)
O (0.476, 0.512, 0.661) (multiplicity 1)
O (0.568, 0.445, 0.399) (multiplicity 1)
O (0.994, 0.960, 0.393) (multiplicity 1)
F (0.092, 0.937, 0.654) (multiplicity 1)
F (0.217, 0.627, 0.230) (multiplicity 1)
F (0.309, 0.188, 0.321) (multiplicity 1)
F (0.521, 0.157, 0.567) (multiplicity 1)
F (0.601, 0.112, 0.001) (multiplicity 1)
F (0.786, 0.622, 0.810) (multiplicity 1)
F (0.802, 0.625, 0.075) (multiplicity 1)
F (0.838, 0.627, 0.510) (multiplicity 1)

=====

Entry 2:
Structure and theoretical PXRD pattern of CdCu2SiSe4 (the GGA-PBE geometry in the Materials Project; Cu Kα X-rays).
No peak broadening, texture or thermal motion is included.

Main lines, low angle first (2θ from 10° to 90°):
| 2θ/deg | Rel. int. |
| --- | --- |
| 25.54 | 100 |
| 26.00 | 47 |
| 26.90 | 81 |
| 28.93 | 71 |
| 29.33 | 31 |
| 37.43 | 34 |
| 44.75 | 41 |
| 45.58 | 73 |
| 48.79 | 81 |
| 49.05 | 38 |
| 53.72 | 40 |
| 68.55 | 27 |

Crystal structure
a = 8.102 Å, b = 6.855 Å, c = 6.630 Å
α = 90.00°, β = 90.00°, γ = 90.00°
Space group Pmn2_1 (No. 31)
Asymmetric unit:
Cd (0.000, 0.152, 0.000) (multiplicity 2)
Cu (0.249, 0.676, 0.002) (multiplicity 4)
Si (0.000, 0.823, 0.492) (multiplicity 2)
Se (0.000, 0.150, 0.404) (multiplicity 2)
Se (0.000, 0.795, 0.842) (multiplicity 2)
Se (0.228, 0.657, 0.367) (multiplicity 4)

=====

Entry 3:
Structure and theoretical PXRD pattern of Ti2Se (the GGA-PBE geometry in the Materials Project; Cu Kα X-rays).
No peak broadening, texture or thermal motion is included.

Main lines, low angle first (2θ from 10° to 90°):
| 2θ/deg | Rel. int. |
| --- | --- |
| 35.23 | 22 |
| 36.73 | 22 |
| 38.58 | 22 |
| 39.15 | 89 |
| 39.48 | 100 |
| 40.59 | 50 |
| 40.84 | 20 |
| 42.30 | 23 |
| 44.31 | 21 |
| 46.02 | 19 |
| 47.24 | 29 |
| 53.11 | 43 |

Crystal structure
a = 11.741 Å, b = 14.533 Å, c = 3.449 Å
α = 90.00°, β = 90.00°, γ = 90.00°
Space group Pnnm (No. 58)
Asymmetric unit:
Ti (0.029, 0.108, 0.000) (multiplicity 4)
Ti (0.085, 0.576, 0.000) (multiplicity 4)
Ti (0.091, 0.740, 0.500) (multiplicity 4)
Ti (0.114, 0.426, 0.500) (multiplicity 4)
Ti (0.146, 0.980, 0.500) (multiplicity 4)
Ti (0.189, 0.205, 0.500) (multiplicity 4)
Se (0.068, 0.293, 0.000) (multiplicity 4)
Se (0.187, 0.850, 0.000) (multiplicity 4)
Se (0.244, 0.586, 0.500) (multiplicity 4)

=====

Entry 4:
Structure and theoretical PXRD pattern of NaCa2ZrSi2O9 (the GGA-PBE geometry in the Materials Project; Cu Kα X-rays).
No peak broadening, texture or thermal motion is included.

Main lines, low angle first (2θ from 10° to 90°):
| 2θ/deg | Rel. int. |
| --- | --- |
| 12.55 | 27 |
| 15.14 | 41 |
| 21.10 | 33 |
| 26.87 | 56 |
| 29.34 | 99 |
| 29.49 | 94 |
| 30.83 | 100 |
| 31.02 | 56 |
| 35.06 | 30 |
| 43.97 | 36 |
| 48.56 | 42 |
| 58.88 | 34 |

Crystal structure
a = 7.499 Å, b = 10.507 Å, c = 10.988 Å
α = 90.00°, β = 109.65°, γ = 90.00°
Space group P2_1 (No. 4)
Asymmetric unit:
Na (0.063, 0.000, 0.371) (multiplicity 2)
Na (0.195, 0.157, 0.129) (multiplicity 2)
Ca (0.052, 0.379, 0.353) (multiplicity 2)
Ca (0.194, 0.773, 0.151) (multiplicity 2)
Ca (0.326, 0.648, 0.874) (multiplicity 2)
Ca (0.454, 0.884, 0.652) (multiplicity 2)
Zr (0.304, 0.281, 0.846) (multiplicity 2)
Zr (0.435, 0.517, 0.624) (multiplicity 2)
Si (0.049, 0.700, 0.433) (multiplicity 2)
Si (0.123, 0.453, 0.063) (multiplicity 2)
Si (0.302, 0.954, 0.929) (multiplicity 2)
Si (0.377, 0.199, 0.574) (multiplicity 2)
O (0.010, 0.683, 0.753) (multiplicity 2)
O (0.026, 0.215, 0.726) (multiplicity 2)
O (0.112, 0.937, 0.974) (multiplicity 2)
O (0.142, 0.182, 0.522) (multiplicity 2)
O (0.151, 0.827, 0.508) (multiplicity 2)
O (0.155, 0.340, 0.967) (multiplicity 2)
O (0.162, 0.566, 0.480) (multiplicity 2)
O (0.162, 0.596, 0.019) (multiplicity 2)
O (0.229, 0.421, 0.213) (multiplicity 2)
O (0.258, 0.917, 0.779) (multiplicity 2)
O (0.284, 0.446, 0.745) (multiplicity 2)
O (0.295, 0.954, 0.270) (multiplicity 2)
O (0.378, 0.100, 0.965) (multiplicity 2)
O (0.404, 0.335, 0.509) (multiplicity 2)
O (0.435, 0.839, 0.018) (multiplicity 2)
O (0.457, 0.074, 0.525) (multiplicity 2)
O (0.461, 0.206, 0.732) (multiplicity 2)
O (0.488, 0.675, 0.729) (multiplicity 2)

=====

Entry 5:
Structure and theoretical PXRD pattern of Ba3PrIrRuO9 (the GGA-PBE geometry in the Materials Project; Cu Kα X-rays).
No peak broadening, texture or thermal motion is included.

Main lines, low angle first (2θ from 10° to 90°):
| 2θ/deg | Rel. int. |
| --- | --- |
| 17.98 | 15 |
| 24.64 | 20 |
| 29.31 | 63 |
| 29.62 | 100 |
| 38.89 | 15 |
| 42.15 | 35 |
| 45.74 | 16 |
| 52.36 | 24 |
| 52.55 | 20 |
| 55.44 | 13 |
| 61.48 | 18 |
| 64.11 | 13 |

Crystal structure
a = 6.0328 Å, b = 6.0328 Å, c = 15.0076 Å
α = 90.00°, β = 90.00°, γ = 120.00°
Space group P6_3mc (No. 186)
Asymmetric unit:
Ba (0.0000, 0.0000, 0.0000) (multiplicity 2)
Ba (0.3333, 0.6667, 0.1494) (multiplicity 2)
Ba (0.3333, 0.6667, 0.8490) (multiplicity 2)
Pr (0.0000, 0.0000, 0.2486) (multiplicity 2)
Ir (0.3333, 0.6667, 0.5827) (multiplicity 2)
Ru (0.3333, 0.6667, 0.4153) (multiplicity 2)
O (0.0202, 0.5101, 0.4989) (multiplicity 6)
O (0.1791, 0.3582, 0.6593) (multiplicity 6)
O (0.1797, 0.3594, 0.3419) (multiplicity 6)

=====

Entry 6:
Structure and theoretical PXRD pattern of KYMg14 (the GGA-PBE geometry in the Materials Project; Cu Kα X-rays).
No peak broadening, texture or thermal motion is included.

Main lines, low angle first (2θ from 10° to 90°):
| 2θ/deg | Rel. int. |
| --- | --- |
| 15.31 | 13 |
| 17.51 | 8 |
| 22.90 | 13 |
| 30.90 | 26 |
| 34.26 | 24 |
| 35.44 | 100 |
| 46.80 | 16 |
| 54.95 | 19 |
| 62.11 | 18 |
| 66.37 | 19 |
| 67.11 | 14 |
| 87.59 | 6 |

Crystal structure
a = 6.6836 Å, b = 6.6836 Å, c = 10.4704 Å
α = 90.00°, β = 90.00°, γ = 120.00°
Space group P-6m2 (No. 187)
Asymmetric unit:
K (0.0000, 0.0000, 0.0000) (multiplicity 1)
Y (0.0000, 0.0000, 0.5000) (multiplicity 1)
Mg (0.0044, 0.5022, 0.0000) (multiplicity 3)
Mg (0.0064, 0.5032, 0.5000) (multiplicity 3)
Mg (0.1713, 0.3427, 0.2547) (multiplicity 6)
Mg (0.6667, 0.3333, 0.2500) (multiplicity 2)

=====

Entry 7:
Structure and theoretical PXRD pattern of Er3Ge2Rh2 (the GGA-PBE geometry in the Materials Project; Cu Kα X-rays).
No peak broadening, texture or thermal motion is included.

Main lines, low angle first (2θ from 10° to 90°):
| 2θ/deg | Rel. int. |
| --- | --- |
| 30.60 | 35 |
| 33.68 | 64 |
| 34.33 | 58 |
| 34.71 | 55 |
| 35.02 | 25 |
| 35.64 | 50 |
| 38.11 | 77 |
| 40.18 | 100 |
| 41.14 | 37 |
| 49.37 | 25 |
| 55.88 | 22 |
| 59.18 | 22 |

Crystal structure
a = 5.542 Å, b = 7.830 Å, c = 13.165 Å
α = 90.00°, β = 90.00°, γ = 90.00°
Space group Pbcm (No. 57)
Asymmetric unit:
Er (0.135, 0.249, 0.250) (multiplicity 4)
Er (0.352, 0.607, 0.101) (multiplicity 8)
Ge (0.158, 0.250, 0.000) (multiplicity 4)
Ge (0.370, 0.609, 0.750) (multiplicity 4)
Rh (0.126, 0.536, 0.593) (multiplicity 8)

=====

Entry 8:
Structure and theoretical PXRD pattern of ZrC (the GGA-PBE geometry in the Materials Project; Cu Kα X-rays).
No peak broadening, texture or thermal motion is included.

Main lines, low angle first (2θ from 10° to 90°):
| 2θ/deg | Rel. int. |
| --- | --- |
| 30.32 | 100 |
| 35.15 | 39 |
| 50.56 | 41 |
| 60.10 | 40 |
| 63.07 | 10 |
| 74.30 | 6 |
| 82.31 | 16 |
| 84.94 | 12 |

Crystal structure
a = 5.106 Å, b = 5.106 Å, c = 5.106 Å
α = 90.00°, β = 90.00°, γ = 90.00°
Space group F-43m (No. 216)
Asymmetric unit:
Zr (0.000, 0.000, 0.000) (multiplicity 4)
C (0.250, 0.250, 0.750) (multiplicity 4)

=====

Entry 9:
Structure and theoretical PXRD pattern of KCaMg14 (the GGA-PBE geometry in the Materials Project; Cu Kα X-rays).
No peak broadening, texture or thermal motion is included.

Main lines, low angle first (2θ from 10° to 90°):
| 2θ/deg | Rel. int. |
| --- | --- |
| 22.76 | 3 |
| 30.74 | 25 |
| 34.00 | 25 |
| 35.24 | 100 |
| 46.49 | 15 |
| 54.66 | 17 |
| 61.65 | 18 |
| 64.03 | 3 |
| 65.95 | 19 |
| 66.73 | 14 |
| 74.52 | 3 |
| 86.95 | 6 |

Crystal structure
a = 6.7162 Å, b = 6.7162 Å, c = 10.5486 Å
α = 90.00°, β = 90.00°, γ = 120.00°
Space group P-6m2 (No. 187)
Asymmetric unit:
K (0.0000, 0.0000, 0.0000) (multiplicity 1)
Ca (0.0000, 0.0000, 0.5000) (multiplicity 1)
Mg (0.0038, 0.5019, 0.0000) (multiplicity 3)
Mg (0.0053, 0.5027, 0.5000) (multiplicity 3)
Mg (0.1732, 0.3463, 0.2537) (multiplicity 6)
Mg (0.6667, 0.3333, 0.2499) (multiplicity 2)

=====

Entry 10:
Structure and theoretical PXRD pattern of SrAsAu (the GGA-PBE geometry in the Materials Project; Cu Kα X-rays).
No peak broadening, texture or thermal motion is included.

Main lines, low angle first (2θ from 10° to 90°):
| 2θ/deg | Rel. int. |
| --- | --- |
| 20.62 | 30 |
| 24.88 | 35 |
| 30.78 | 100 |
| 38.83 | 12 |
| 39.69 | 65 |
| 41.95 | 19 |
| 45.13 | 24 |
| 51.05 | 24 |
| 59.12 | 41 |
| 66.54 | 22 |
| 72.03 | 11 |
| 87.00 | 14 |

Crystal structure
a = 4.5420 Å, b = 4.5420 Å, c = 8.6147 Å
α = 90.00°, β = 90.00°, γ = 120.00°
Space group P6_3/mmc (No. 194)
Asymmetric unit:
Sr (0.0000, 0.0000, 0.0000) (multiplicity 2)
As (0.3333, 0.6667, 0.2500) (multiplicity 2)
Au (0.3333, 0.6667, 0.7500) (multiplicity 2)